The following is a computed powder diffractogram of Tb8Ge3Te4Pb. It was derived from a cell relaxed with GGA-PBE, using Cu Ka.

Atomic structure:
a = 8.6180 Å, b = 8.6180 Å, c = 21.4370 Å
α = 90.00°, β = 90.00°, γ = 120.00°
Space group R-3m (No. 166, hexagonal axes)
Symmetry-distinct sites (fractional):
Tb1 0.0000 0.0000 0.2398
Tb2 0.0106 0.5053 0.7577
Ge1 0.0000 0.5000 0.5000
Te1 0.0000 0.0000 0.0000
Te2 0.0000 0.5000 0.0000
Pb1 0.0000 0.0000 0.5000

Peak list (12 most intense, 2θ = 10–80°, by intensity)
29.16°, I 100, hkl 0 2 4
41.93°, I 38, hkl 2 2 0
41.49°, I 36, hkl 2 0 8
51.89°, I 20, hkl 4 0 4
68.83°, I 17, hkl 2 4 4
68.19°, I 14, hkl 2 2 12
76.29°, I 12, hkl 4 2 8
60.46°, I 12, hkl 0 4 8
76.60°, I 6, hkl 6 0 0
51.13°, I 6, hkl 0 0 12
75.38°, I 4, hkl 0 2 16
25.27°, I 3, hkl 2 0 2

=====

The following is a computed powder diffractogram of Tb2ZnGePb. It was derived from a cell relaxed with GGA-PBE, using Cu Ka.

Atomic structure:
a = 4.492 Å, b = 7.383 Å, c = 7.638 Å
α = 90.00°, β = 90.00°, γ = 90.00°
Space group Pmmn (No. 59, origin choice 2)
Symmetry-distinct sites (fractional):
Tb1 0.250 0.009 0.216
Zn1 0.250 0.750 0.596
Ge1 0.250 0.750 0.920
Pb1 0.250 0.250 0.609

Peak list (12 most intense, 2θ = 10–80°, by intensity)
33.54°, I 100, hkl 1 2 1
40.73°, I 37, hkl 1 0 3
33.77°, I 29, hkl 0 2 2
30.73°, I 27, hkl 1 0 2
40.15°, I 26, hkl 2 0 0
65.86°, I 20, hkl 1 4 3
25.99°, I 19, hkl 1 1 1
26.82°, I 16, hkl 0 2 1
53.44°, I 16, hkl 2 2 2
26.27°, I 15, hkl 0 1 2
49.38°, I 15, hkl 0 4 0
68.77°, I 13, hkl 3 2 1

=====

The following is a computed powder diffractogram of Tc2Ge2Pb. It was derived from a cell relaxed with GGA-PBE, using Cu Ka.

Atomic structure:
a = 4.449 Å, b = 4.449 Å, c = 9.659 Å
α = 90.00°, β = 90.00°, γ = 90.00°
Space group I4/mmm (No. 139)
Symmetry-distinct sites (fractional):
Tc1 0.000 0.500 0.250
Ge1 0.000 0.000 0.131
Pb1 0.000 0.000 0.500

Peak list (12 most intense, 2θ = 10–80°, by intensity)
34.01°, I 100, hkl 1 1 2
34.38°, I 65, hkl 1 0 3
40.56°, I 61, hkl 2 0 0
54.20°, I 36, hkl 2 1 3
69.61°, I 25, hkl 3 1 2
58.70°, I 21, hkl 2 2 0
65.09°, I 19, hkl 1 1 6
22.00°, I 19, hkl 1 0 1
51.58°, I 17, hkl 1 0 5
67.59°, I 15, hkl 2 1 5
28.37°, I 12, hkl 1 1 0
56.23°, I 10, hkl 2 0 4

=====

The following is a computed powder diffractogram of GeTe4Pb2. It was derived from a cell relaxed with GGA-PBE, using Cu Ka.

Atomic structure:
a = 7.516 Å, b = 7.516 Å, c = 11.330 Å
α = 90.00°, β = 90.00°, γ = 90.00°
Space group I-42m (No. 121)
Symmetry-distinct sites (fractional):
Ge1 0.000 0.000 0.000
Te1 0.223 0.223 0.099
Pb1 0.000 0.500 0.250

Peak list (12 most intense, 2θ = 10–80°, by intensity)
22.94°, I 100, hkl 1 1 2
39.85°, I 39, hkl 2 0 4
41.19°, I 38, hkl 3 1 2
33.73°, I 36, hkl 2 2 0
28.50°, I 31, hkl 2 0 2
16.68°, I 23, hkl 1 1 0
64.47°, I 16, hkl 4 2 4
35.93°, I 15, hkl 1 1 4
14.14°, I 14, hkl 1 0 1
48.45°, I 13, hkl 4 0 0
62.85°, I 9, hkl 3 1 6
50.10°, I 9, hkl 3 1 4